The following is a theoretical X-ray diffraction stick pattern of Sm2TmS4. It was derived from the GGA-PBE geometry in Alexandria, using copper Kα.
Kinematic intensities with the Lorentz-polarization factor, no thermal factor.

Principal peaks in the range 15 to 90 degrees two-theta, by angle:
2θ = 16.08°, rel. 204
2θ = 26.29°, rel. 195
2θ = 27.58°, rel. 439
2θ = 27.84°, rel. 428
2θ = 31.91°, rel. 1000
2θ = 32.49°, rel. 475
2θ = 46.17°, rel. 872
2θ = 56.94°, rel. 184

Cell and atoms:
```
data_Sm2TmS4
_cell_length_a 7.8771
_cell_length_b 7.9905
_cell_length_c 11.0216
_cell_angle_alpha 90.00
_cell_angle_beta 90.00
_cell_angle_gamma 90.00
_space_group_name_H-M_alt 'I m m a'
_space_group_IT_number 74
_space_group_name_Hall '-I 2b 2'
loop_
_atom_site_label
_atom_site_fract_x
_atom_site_fract_y
_atom_site_fract_z
_atom_site_occupancy
Sm1 0.0000 0.0000 0.0000 1
Sm2 0.2500 0.2500 0.2500 1
Tm1 0.2500 0.2500 0.7500 1
S1 0.0000 0.0089 0.7453 1
S2 0.2464 0.2500 0.9955 1
```



The following is a theoretical X-ray diffraction stick pattern of Rb2Ba2UO6. It was derived from the GGA-PBE geometry in Alexandria, using copper Kα.
Kinematic intensities with the Lorentz-polarization factor, no thermal factor.

Principal peaks in the range 15 to 90 degrees two-theta, by angle:
2θ = 15.74°, rel. 477
2θ = 26.67°, rel. 556
2θ = 27.48°, rel. 489
2θ = 28.77°, rel. 830
2θ = 32.18°, rel. 1000
2θ = 32.74°, rel. 485
2θ = 46.06°, rel. 323
2θ = 47.07°, rel. 361

Cell and atoms:
```
data_Rb2Ba2UO6
_cell_length_a 6.7518
_cell_length_b 11.3018
_cell_length_c 6.9533
_cell_angle_alpha 90.00
_cell_angle_beta 105.98
_cell_angle_gamma 90.00
_space_group_name_H-M_alt 'C 1 2/m 1'
_space_group_IT_number 12
loop_
_space_group_symop_operation_xyz
'x,y,z'
'-x,-y,-z'
'-x,y,-z'
'x,-y,z'
'x+1/2,y+1/2,z'
'-x+1/2,-y+1/2,-z'
'-x+1/2,y+1/2,-z'
'x+1/2,-y+1/2,z'
loop_
_atom_site_label
_atom_site_fract_x
_atom_site_fract_y
_atom_site_fract_z
_atom_site_occupancy
Rb1 0.0000 0.1604 0.0000 1
Ba1 0.0000 0.3375 0.5000 1
U1 0.0000 0.0000 0.5000 1
O1 0.1802 0.1386 0.6679 1
O2 0.2040 0.0000 0.3192 1
```